For Sr2MgCuAg2S2O2, a crystal structure in the Materials Project, relaxed with PBE gives the calculated powder diffractogram in this record (Cu Ka).
Lines closer than 0.1° are merged.

Structural model:
```
data_Sr2MgCuAg2S2O2
_space_group_name_H-M_alt 'C 1 m 1'
_space_group_IT_number 8
_cell_length_a 5.6248
_cell_length_b 5.6217
_cell_length_c 12.2668
_cell_angle_alpha 90.00
_cell_angle_beta 91.50
_cell_angle_gamma 90.00
loop_
_space_group_symop_operation_xyz
'x,y,z'
'x,-y,z'
'x+1/2,y+1/2,z'
'x+1/2,-y+1/2,z'
loop_
_atom_site_label
_atom_site_fract_x
_atom_site_fract_y
_atom_site_fract_z
Sr1 0.0000 0.0000 0.0000
Sr2 0.0149 0.0000 0.2788
Mg1 0.4372 0.0000 0.5620
Cu1 0.0077 0.5000 0.1358
Ag1 0.2109 0.2485 0.7291
S1 0.0225 0.5000 0.3784
S2 0.4887 0.0000 0.8790
O1 0.2581 0.2506 0.1315
```

Peak list (10 most intense, 15 to 90 degrees two-theta, sorted by position)
2θ/deg, I (rel.)
21.74, 50.8
31.69, 52.0
32.49, 40.9
32.69, 97.2
32.87, 47.7
35.12, 45.5
36.67, 80.5
37.37, 44.7
38.88, 42.6
45.64, 100.0


For Nd2Cu5Ag5, a crystal structure in the Materials Project, relaxed with PBE gives the calculated powder diffractogram in this record (Cu Ka).
Lines closer than 0.1° are merged.

Structural model:
```
data_Nd2Cu5Ag5
_space_group_name_H-M_alt 'P m m m'
_space_group_IT_number 47
_cell_length_a 4.4851
_cell_length_b 5.2665
_cell_length_c 9.3803
_cell_angle_alpha 90.00
_cell_angle_beta 90.00
_cell_angle_gamma 90.00
loop_
_space_group_symop_operation_xyz
'x,y,z'
'-x,-y,-z'
'-x,-y,z'
'x,y,-z'
'x,-y,-z'
'-x,y,z'
'-x,y,-z'
'x,-y,z'
loop_
_atom_site_label
_atom_site_fract_x
_atom_site_fract_y
_atom_site_fract_z
Nd1 0.0000 0.0000 0.0000
Nd2 0.0000 0.5000 0.5000
Cu1 0.5000 0.0000 0.5000
Cu2 0.5000 0.2476 0.2585
Ag1 0.0000 0.0000 0.3338
Ag2 0.0000 0.5000 0.1784
Ag3 0.5000 0.5000 0.0000
```

Peak list (10 most intense, 15 to 90 degrees two-theta, sorted by position)
2θ/deg, I (rel.)
27.80, 20.0
33.33, 28.3
34.05, 18.1
39.06, 100.0
39.69, 39.8
40.21, 39.5
53.19, 14.6
64.30, 22.0
72.32, 15.3
83.92, 16.4


For CuAgO2, a crystal structure in the Materials Project, relaxed with PBE gives the calculated powder diffractogram in this record (Cu Ka).
Lines closer than 0.1° are merged.

Structural model:
```
data_CuAgO2
_space_group_name_H-M_alt 'P m m m'
_space_group_IT_number 47
_cell_length_a 2.8758
_cell_length_b 3.4274
_cell_length_c 5.4361
_cell_angle_alpha 90.00
_cell_angle_beta 90.00
_cell_angle_gamma 90.00
loop_
_space_group_symop_operation_xyz
'x,y,z'
'-x,-y,-z'
'-x,-y,z'
'x,y,-z'
'x,-y,-z'
'-x,y,z'
'-x,y,-z'
'x,-y,z'
loop_
_atom_site_label
_atom_site_fract_x
_atom_site_fract_y
_atom_site_fract_z
Cu1 0.0000 0.0000 0.0000
Ag1 0.5000 0.5000 0.5000
O1 0.5000 0.0000 0.2296
```

Peak list (10 most intense, 15 to 90 degrees two-theta, sorted by position)
2θ/deg, I (rel.)
30.84, 100.0
32.95, 26.8
35.31, 62.9
40.97, 29.3
53.53, 62.9
57.53, 13.3
60.38, 14.3
65.71, 18.8
73.52, 14.3
84.86, 10.4